# Zr2Se3
Computed X-ray powder pattern, Cu Kα. Input: a PBE-relaxed structure.
Intensities are scaled so that the largest is 1000.

Largest 10 diffraction maxima, by angle, 2θ = 15–90°:
2θ = 27.76°, 3.213 Å, I = 90
2θ = 33.34°, 2.687 Å, I = 1000
2θ = 36.32°, 2.474 Å, I = 67
2θ = 47.38°, 1.919 Å, I = 358
2θ = 48.36°, 1.882 Å, I = 342
2θ = 60.00°, 1.542 Å, I = 175
2θ = 70.02°, 1.344 Å, I = 107
2θ = 79.06°, 1.211 Å, I = 148
2θ = 80.54°, 1.193 Å, I = 147
2θ = 89.63°, 1.094 Å, I = 76

Cell and atoms:
```
Zr2Se3
1.0
3.261 -5.646 0.000
3.261 5.646 0.000
-2.179 0.000 6.329
Zr Se
4 6
Cartesian
0.000 0.000 0.000 Zr
2.171 3.719 3.165 Zr
2.171 0.000 3.165 Zr
2.171 -3.719 3.165 Zr
1.119 1.932 1.486 Se
0.046 0.000 4.788 Se
1.119 -1.932 1.486 Se
3.223 1.932 4.843 Se
4.296 0.000 1.541 Se
3.223 -1.932 4.843 Se
```

=====

# Nd6S4N3Cl
Computed X-ray powder pattern, Cu Kα. Input: a PBE-relaxed structure.
Intensities are scaled so that the largest is 1000.

Largest 10 diffraction maxima, by angle, 2θ = 15–90°:
2θ = 26.42°, 3.373 Å, I = 1000
2θ = 26.77°, 3.331 Å, I = 224
2θ = 27.01°, 3.301 Å, I = 939
2θ = 28.85°, 3.094 Å, I = 262
2θ = 33.34°, 2.687 Å, I = 214
2θ = 37.97°, 2.370 Å, I = 329
2θ = 38.31°, 2.349 Å, I = 235
2θ = 45.13°, 2.009 Å, I = 290
2θ = 46.43°, 1.956 Å, I = 245
2θ = 53.06°, 1.726 Å, I = 307

Cell and atoms:
```
Nd6S4N3Cl
1.0
4.018 0.000 0.000
-0.001 11.734 0.000
-0.001 -0.008 26.644
Nd S N Cl
24 16 12 4
Cartesian
1.005 0.646 5.091 Nd
1.004 0.663 24.677 Nd
1.004 1.037 12.244 Nd
1.003 1.360 18.791 Nd
1.004 3.115 1.749 Nd
1.004 3.115 8.823 Nd
1.005 6.512 8.231 Nd
1.003 6.532 15.290 Nd
1.004 6.906 1.077 Nd
1.003 7.226 21.176 Nd
1.004 8.979 11.572 Nd
1.004 8.984 4.500 Nd
3.012 2.743 22.144 Nd
3.013 2.748 15.072 Nd
3.013 4.501 5.468 Nd
3.012 4.821 25.567 Nd
3.013 5.195 11.354 Nd
3.011 5.215 18.413 Nd
3.012 8.612 17.821 Nd
3.012 8.612 24.895 Nd
3.013 10.367 7.853 Nd
3.012 10.690 14.400 Nd
3.012 11.064 1.967 Nd
3.011 11.081 21.553 Nd
1.003 3.346 23.890 S
1.003 3.722 17.081 S
1.003 4.149 13.516 S
1.004 5.351 3.586 S
1.003 9.215 16.077 S
1.003 9.587 22.885 S
1.003 10.013 26.451 S
1.004 11.217 9.736 S
3.012 0.510 16.908 S
3.013 1.714 0.193 S
3.013 2.140 3.759 S
3.013 2.512 10.567 S
3.012 6.376 23.058 S
3.013 7.578 13.129 S
3.013 8.005 9.563 S
3.013 8.381 2.754 S
1.005 4.552 6.933 N
1.005 4.719 0.250 N
1.004 5.152 10.026 N
1.004 10.420 6.388 N
1.003 10.581 13.072 N
1.004 11.022 3.295 N
3.012 0.705 23.349 N
3.013 1.146 13.572 N
3.012 1.307 20.256 N
3.012 6.574 16.618 N
3.012 7.008 26.394 N
3.011 7.175 19.711 N
1.003 4.312 20.454 Cl
1.003 10.179 19.513 Cl
3.013 1.548 7.131 Cl
3.013 7.415 6.190 Cl
```

=====

# SrGdSi2Os2
Computed X-ray powder pattern, Cu Kα. Input: a PBE-relaxed structure.
Intensities are scaled so that the largest is 1000.

Largest 10 diffraction maxima, by angle, 2θ = 15–90°:
2θ = 24.37°, 3.652 Å, I = 312
2θ = 32.34°, 2.768 Å, I = 999
2θ = 32.69°, 2.739 Å, I = 273
2θ = 37.61°, 2.391 Å, I = 237
2θ = 39.14°, 2.301 Å, I = 1000
2θ = 42.62°, 2.122 Å, I = 551
2θ = 44.54°, 2.034 Å, I = 224
2θ = 58.13°, 1.587 Å, I = 271
2θ = 71.54°, 1.319 Å, I = 208
2θ = 75.68°, 1.257 Å, I = 295

Cell and atoms:
```
SrGdSi2Os2
1.0
4.243 0.000 0.000
0.000 4.243 0.000
0.000 0.000 7.174
Sr Gd Si Os
1 1 2 2
Cartesian
0.000 0.000 0.000 Sr
2.122 2.122 2.607 Gd
0.000 0.000 3.487 Si
2.122 2.122 5.892 Si
0.000 2.122 4.682 Os
2.122 0.000 4.682 Os
```

=====

# In3Au7
Computed X-ray powder pattern, Cu Kα. Input: a PBE-relaxed structure.
Intensities are scaled so that the largest is 1000.

Largest 10 diffraction maxima, by angle, 2θ = 15–90°:
2θ = 22.02°, 4.037 Å, I = 108
2θ = 28.66°, 3.115 Å, I = 91
2θ = 36.43°, 2.466 Å, I = 177
2θ = 37.78°, 2.381 Å, I = 157
2θ = 38.05°, 2.365 Å, I = 1000
2θ = 38.22°, 2.355 Å, I = 988
2θ = 39.29°, 2.293 Å, I = 176
2θ = 43.43°, 2.084 Å, I = 129
2θ = 55.03°, 1.669 Å, I = 134
2θ = 68.98°, 1.361 Å, I = 106

Cell and atoms:
```
In3Au7
1.0
12.460 0.000 0.000
-6.230 10.791 0.000
0.000 0.000 8.707
In Au
18 42
Cartesian
-4.918 9.005 2.193 In
-2.255 6.924 4.002 In
0.890 2.030 2.193 In
-0.871 5.108 8.373 In
2.203 0.244 6.514 In
-1.371 8.992 8.373 In
1.361 5.376 4.002 In
3.988 3.308 0.334 In
5.336 1.509 4.704 In
0.894 9.282 4.002 In
2.242 7.483 8.373 In
4.869 5.415 4.704 In
7.601 1.799 0.334 In
4.027 10.547 2.193 In
7.101 5.683 0.334 In
5.340 8.761 6.514 In
8.486 3.867 4.704 In
11.148 1.786 6.514 In
0.000 0.000 0.000 Au
0.000 0.000 4.353 Au
-4.729 8.402 8.069 Au
-4.469 8.579 5.085 Au
-2.926 6.923 1.173 Au
-1.273 4.548 5.456 Au
-2.603 6.888 6.931 Au
-1.004 4.725 2.541 Au
1.036 2.631 5.085 Au
1.319 2.495 8.069 Au
2.820 0.105 0.638 Au
2.796 0.419 3.622 Au
-1.636 9.298 2.541 Au
-1.655 9.619 5.456 Au
0.000 7.194 1.536 Au
0.000 7.194 5.813 Au
1.698 4.795 1.173 Au
1.566 5.092 6.931 Au
3.302 3.377 3.251 Au
3.590 3.232 6.166 Au
5.002 0.927 7.534 Au
5.193 1.189 1.776 Au
1.037 9.602 6.931 Au
1.229 9.864 1.173 Au
2.640 7.559 2.541 Au
2.928 7.414 5.456 Au
4.664 5.699 1.776 Au
4.533 5.996 7.534 Au
6.230 3.597 2.893 Au
6.230 3.597 7.171 Au
7.885 1.172 3.251 Au
7.866 1.493 6.166 Au
3.434 10.372 5.085 Au
3.410 10.686 8.069 Au
4.911 8.296 0.638 Au
5.195 8.160 3.622 Au
7.234 6.066 6.166 Au
8.834 3.903 1.776 Au
7.503 6.243 3.251 Au
9.156 3.868 7.534 Au
10.699 2.212 3.622 Au
10.959 2.390 0.638 Au
```

=====

# ErTmSnN
Computed X-ray powder pattern, Cu Kα. Input: a PBE-relaxed structure.
Intensities are scaled so that the largest is 1000.

Largest 10 diffraction maxima, by angle, 2θ = 15–90°:
2θ = 29.64°, 3.014 Å, I = 220
2θ = 34.65°, 2.589 Å, I = 1000
2θ = 35.52°, 2.528 Å, I = 195
2θ = 46.91°, 1.937 Å, I = 159
2θ = 52.59°, 1.740 Å, I = 217
2θ = 63.22°, 1.471 Å, I = 178
2θ = 64.52°, 1.444 Å, I = 168
2θ = 65.07°, 1.433 Å, I = 209
2θ = 86.67°, 1.123 Å, I = 78
2θ = 87.84°, 1.111 Å, I = 153

Cell and atoms:
```
ErTmSnN
1.0
3.481 0.000 0.000
-1.740 3.014 0.000
0.000 0.000 15.165
Er Tm Sn N
2 2 2 2
Cartesian
0.000 0.000 2.500 Er
0.000 0.000 12.666 Er
1.740 1.005 5.083 Tm
1.740 1.005 10.083 Tm
0.000 0.000 7.583 Sn
1.740 1.005 0.000 Sn
0.000 2.009 3.810 N
0.000 2.009 11.355 N
```